Starting from a GGA-PBE-relaxed structure, the powder diffractogram of Ac2SiHgGe was computed for CuKα.
No peak broadening, texture or thermal motion is included.

Peak list (10 most intense, 5 to 70 degrees two-theta, sorted by position)
22.24 deg, rel. 17, hkl 1 0 1; 23.38 deg, rel. 17, hkl 0 0 2; 24.67 deg, rel. 15, hkl 1 1 1; 30.90 deg, rel. 100, hkl 1 2 1; 31.74 deg, rel. 29, hkl 0 2 2; 38.33 deg, rel. 20, hkl 2 0 0; 40.41 deg, rel. 29, hkl 1 0 3; 43.11 deg, rel. 14, hkl 0 4 0; 50.59 deg, rel. 16, hkl 2 2 2; 60.56 deg, rel. 18, hkl 1 4 3

Structure:
```
10
Lattice="4.6963 0.0000 0.0000 0.0000 8.3942 0.0000 0.0000 0.0000 7.6102" Properties=species:S:1:pos:R:3 pbc="T T T"
Ac 1.1741 0.0510 1.7998
Ac 1.1741 4.1461 1.7998
Ac 3.5223 4.2481 5.8105
Ac 3.5223 8.3432 5.8105
Si 1.1741 6.2957 4.4679
Si 3.5223 2.0986 3.1423
Hg 1.1741 2.0986 4.7088
Hg 3.5223 6.2957 2.9014
Ge 1.1741 6.2957 6.9313
Ge 3.5223 2.0986 0.6789
```